Structure and computed XRD peak list of NaNi2O4 (a DFT-relaxed cell (PBE+U, the Materials Project); Cu Kα X-rays).
Neutral-atom scattering factors, no anomalous dispersion.

Peak list (8 most intense, 5° ≤ 2θ ≤ 70°, in order of falling intensity)
2theta, Rel. int.
15.74, 100
39.59, 13
48.76, 12
31.79, 12
40.35, 11
36.12, 7
36.24, 7
49.41, 7

Crystal structure
```
data_NaNi2O4
_cell_length_a 4.871
_cell_length_b 5.771
_cell_length_c 11.261
_cell_angle_alpha 90.39
_cell_angle_beta 90.16
_cell_angle_gamma 90.22
_space_group_name_H-M_alt 'P 1'
_space_group_IT_number 1
_space_group_name_Hall 'P 1'
loop_
_atom_site_label
_atom_site_type_symbol
_atom_site_fract_x
_atom_site_fract_y
_atom_site_fract_z
_atom_site_occupancy
Na1 Na 0.000 0.000 0.000 1
Na2 Na 0.028 0.500 0.499 1
Na3 Na 0.373 0.500 0.000 1
Na4 Na 0.657 0.000 0.500 1
Ni1 Ni 0.014 0.497 0.246 1
Ni2 Ni 0.015 0.503 0.752 1
Ni3 Ni 0.017 0.003 0.253 1
Ni4 Ni 0.017 0.997 0.746 1
Ni5 Ni 0.515 0.250 0.250 1
Ni6 Ni 0.515 0.253 0.750 1
Ni7 Ni 0.515 0.748 0.750 1
Ni8 Ni 0.515 0.750 0.250 1
O1 O 0.186 0.264 0.840 1
O2 O 0.190 0.740 0.841 1
O3 O 0.190 0.751 0.159 1
O4 O 0.193 0.247 0.157 1
O5 O 0.332 0.516 0.662 1
O6 O 0.337 0.487 0.336 1
O7 O 0.349 0.010 0.338 1
O8 O 0.351 0.991 0.663 1
O9 O 0.681 0.490 0.162 1
O10 O 0.682 0.509 0.838 1
O11 O 0.693 0.013 0.164 1
O12 O 0.696 0.984 0.836 1
O13 O 0.837 0.253 0.343 1
O14 O 0.840 0.735 0.659 1
O15 O 0.840 0.750 0.341 1
O16 O 0.844 0.263 0.661 1
```